For Tb4SiPt3, a cell relaxed with GGA-PBE gives the calculated PXRD pattern in this record (CuKα).
Peak positions follow from Bragg's law for the DFT cell and can differ from measured ones.

The 8 most intense peaks (2θ = 10–80°), by angle:
index, two_theta, Rel. int.
1 1 1, 32.00, 1000
0 0 4, 33.35, 286
1 0 3, 33.83, 212
0 1 4, 39.62, 242
1 1 3, 40.03, 683
0 2 0, 42.27, 276
2 0 0, 46.10, 222
2 2 0, 64.32, 160

Structure:
```
data_Tb4SiPt3
_chemical_formula_sum 'Tb4 Si1 Pt3'
_cell_length_a 3.9378
_cell_length_b 4.2759
_cell_length_c 10.7467
_cell_angle_alpha 90.00
_cell_angle_beta 90.00
_cell_angle_gamma 90.00
_space_group_name_H-M_alt 'P m m 2'
_space_group_IT_number 25
_space_group_name_Hall 'P 2 -2'
loop_
_atom_site_label
_atom_site_type_symbol
_atom_site_fract_x
_atom_site_fract_y
_atom_site_fract_z
Tb1 Tb 0.0000 0.0000 0.0000
Tb2 Tb 0.0000 0.5000 0.2805
Tb3 Tb 0.5000 0.0000 0.4978
Tb4 Tb 0.5000 0.5000 0.7786
Si1 Si 0.0000 0.0000 0.7147
Pt1 Pt 0.0000 0.5000 0.5624
Pt2 Pt 0.5000 0.0000 0.2267
Pt3 Pt 0.5000 0.5000 0.0485
```

For K2ReAs, a cell relaxed with GGA-PBE gives the calculated PXRD pattern in this record (CuKα).
Peak positions follow from Bragg's law for the DFT cell and can differ from measured ones.

The 8 most intense peaks (2θ = 10–80°), by angle:
index, two_theta, Rel. int.
0 0 2, 18.47, 660
2 0 -1, 24.81, 366
1 1 1, 27.50, 659
0 0 3, 27.84, 1000
1 1 -2, 29.27, 723
1 1 2, 32.82, 453
0 0 4, 37.45, 394
0 2 0, 43.32, 817

Structure:
```
data_K2ReAs
_chemical_formula_sum 'K4 Re2 As2'
_cell_length_a 7.2393
_cell_length_b 4.1752
_cell_length_c 9.8636
_cell_angle_alpha 90.00
_cell_angle_beta 103.15
_cell_angle_gamma 90.00
_space_group_name_H-M_alt 'C 1 m 1'
_space_group_IT_number 8
_space_group_name_Hall 'C -2y'
loop_
_atom_site_label
_atom_site_type_symbol
_atom_site_fract_x
_atom_site_fract_y
_atom_site_fract_z
K1 K 0.0000 0.0000 0.0000
K2 K 0.1661 0.0000 0.5377
Re1 Re 0.4161 0.0000 0.2688
As1 As 0.2494 0.5000 0.2688
```

For NpUH3, a cell relaxed with GGA-PBE gives the calculated PXRD pattern in this record (CuKα).
Peak positions follow from Bragg's law for the DFT cell and can differ from measured ones.

The 8 most intense peaks (2θ = 10–80°), by angle:
index, two_theta, Rel. int.
0 1 1, 23.66, 553
0 0 2, 31.71, 658
1 1 -1, 32.01, 1000
1 1 1, 39.34, 601
1 2 0, 44.95, 349
1 1 -3, 51.38, 271
2 0 -1, 51.93, 245
0 3 1, 57.19, 252

Structure:
```
data_NpUH3
_chemical_formula_sum 'Np2 U2 H6'
_cell_length_a 3.5198
_cell_length_b 5.0417
_cell_length_c 5.9112
_cell_angle_alpha 90.00
_cell_angle_beta 107.28
_cell_angle_gamma 90.00
_space_group_name_H-M_alt 'P 1 21 1'
_space_group_IT_number 4
_space_group_name_Hall 'P 2yb'
loop_
_atom_site_label
_atom_site_type_symbol
_atom_site_fract_x
_atom_site_fract_y
_atom_site_fract_z
Np1 Np 0.1231 0.0000 0.2474
U1 U 0.3756 0.1510 0.7498
H1 H 0.0729 0.4213 0.1466
H2 H 0.2737 0.7194 0.5470
H3 H 0.4346 0.7171 0.8685
```

Please write out number 2 again, unchanged.
For K2ReAs, a cell relaxed with GGA-PBE gives the calculated PXRD pattern in this record (CuKα).
Peak positions follow from Bragg's law for the DFT cell and can differ from measured ones.

The 8 most intense peaks (2θ = 10–80°), by angle:
index, two_theta, Rel. int.
0 0 2, 18.47, 660
2 0 -1, 24.81, 366
1 1 1, 27.50, 659
0 0 3, 27.84, 1000
1 1 -2, 29.27, 723
1 1 2, 32.82, 453
0 0 4, 37.45, 394
0 2 0, 43.32, 817

Structure:
```
data_K2ReAs
_chemical_formula_sum 'K4 Re2 As2'
_cell_length_a 7.2393
_cell_length_b 4.1752
_cell_length_c 9.8636
_cell_angle_alpha 90.00
_cell_angle_beta 103.15
_cell_angle_gamma 90.00
_space_group_name_H-M_alt 'C 1 m 1'
_space_group_IT_number 8
_space_group_name_Hall 'C -2y'
loop_
_atom_site_label
_atom_site_type_symbol
_atom_site_fract_x
_atom_site_fract_y
_atom_site_fract_z
K1 K 0.0000 0.0000 0.0000
K2 K 0.1661 0.0000 0.5377
Re1 Re 0.4161 0.0000 0.2688
As1 As 0.2494 0.5000 0.2688
```